Diffraction record for UGa5Os. The X-ray powder pattern is simulated, not measured: it uses the GGA-PBE geometry in the Materials Project and Cu Kα (weighted mean of Kα1 and Kα2).

Structural model:
```
data_UGa5Os
_cell_length_a 4.3980
_cell_length_b 4.3980
_cell_length_c 6.6344
_cell_angle_alpha 90.00
_cell_angle_beta 90.00
_cell_angle_gamma 90.00
_space_group_name_H-M_alt 'P 4/m m m'
_space_group_IT_number 123
_space_group_name_Hall '-P 4 2'
loop_
_atom_site_label
_atom_site_type_symbol
_atom_site_fract_x
_atom_site_fract_y
_atom_site_fract_z
U1 U 0.0000 0.0000 0.0000
Ga1 Ga 0.0000 0.5000 0.3002
Ga2 Ga 0.5000 0.5000 0.0000
Os1 Os 0.0000 0.0000 0.5000
```

The 12 most intense peaks (2θ = 10–80°), by angle:
2theta  d (Å)  Rel. int.
20.19  4.398  59.9
26.88  3.317  8.1
28.71  3.110  8.2
31.78  2.816  14.8
33.85  2.648  33.9
39.73  2.269  100.0
41.05  2.199  53.0
46.15  1.967  14.6
54.22  1.692  18.5
59.44  1.555  17.8
71.21  1.324  11.6
73.89  1.283  32.4